Record 1
For CeZn10Pd2, a cell relaxed with PBE gives the theoretical powder X-ray diffraction pattern in this record (λ = 1.5418 Å (Cu Kα)).
Kinematic intensities with the Lorentz-polarization factor, no thermal factor.

Crystal structure
Cell: 5.4057 12.4837 12.6612 Å, 90.00 90.00 90.00°
Space group Fmmm (No. 69)
Inequivalent atoms, fractional coordinates:
Ce1 0.0000 0.0000 0.0000 (multiplicity 4)
Zn1 0.0000 0.1094 0.3907 (multiplicity 16)
Zn2 0.0000 0.1735 0.1780 (multiplicity 16)
Zn3 0.2500 0.2500 0.0000 (multiplicity 8)
Pd1 0.2500 0.0000 0.2500 (multiplicity 8)

Main lines, by angle (2θ from 10° to 80°):
(hkl)  2θ/deg  d/Å  intensity
1 3 3  34.52  2.598  47
2 2 2  39.00  2.309  100
1 1 5  39.97  2.255  51
1 5 1  40.43  2.231  46
0 4 4  40.59  2.222  70
2 0 4  44.06  2.055  29
2 4 0  44.34  2.043  31
0 2 6  45.38  1.998  19
0 6 2  45.91  1.977  15
2 6 6  72.80  1.299  28


Record 2
For Pr5HoGa4, a cell relaxed with PBE gives the theoretical powder X-ray diffraction pattern in this record (λ = 1.5418 Å (Cu Kα)).
Kinematic intensities with the Lorentz-polarization factor, no thermal factor.

Crystal structure
Cell: 8.0022 8.8222 8.4051 Å, 90.00 90.00 90.00°
Space group Pmmn (No. 59, origin choice 2)
Inequivalent atoms, fractional coordinates:
Pr1 0.0031 0.0546 0.2330 (multiplicity 8)
Pr2 0.2500 0.2500 0.8521 (multiplicity 2)
Ho1 0.2500 0.7500 0.4180 (multiplicity 2)
Ga1 0.0982 0.7500 0.0650 (multiplicity 4)
Ga2 0.2500 0.0957 0.5150 (multiplicity 4)

Main lines, by angle (2θ from 10° to 80°):
(hkl)  2θ/deg  d/Å  intensity
2 0 1  24.64  3.613  34
2 1 1  26.66  3.343  80
0 2 2  29.35  3.043  62
2 2 0  30.16  2.964  87
2 0 2  30.86  2.898  100
0 3 1  32.25  2.776  92
0 1 3  33.56  2.670  49
2 2 2  37.12  2.422  54
2 3 3  50.46  1.809  45
2 5 1  58.19  1.585  35


Record 3
For NpPa2PN5, a cell relaxed with PBE gives the theoretical powder X-ray diffraction pattern in this record (λ = 1.5418 Å (Cu Kα)).
Kinematic intensities with the Lorentz-polarization factor, no thermal factor.

Crystal structure
Cell: 6.5571 6.5571 5.4246 Å, 90.00 90.00 90.00°
Space group P4/mbm (No. 127)
Inequivalent atoms, fractional coordinates:
Np1 0.0000 0.0000 0.0000 (multiplicity 2)
Pa1 0.1743 0.3257 0.5000 (multiplicity 4)
P1 0.0000 0.5000 0.0000 (multiplicity 2)
N1 0.0000 0.0000 0.5000 (multiplicity 2)
N2 0.1401 0.6401 0.2337 (multiplicity 8)

Main lines, by angle (2θ from 10° to 80°):
(hkl)  2θ/deg  d/Å  intensity
1 1 1  25.27  3.525  52
2 1 0  30.48  2.932  35
2 0 1  31.89  2.806  100
0 0 2  33.03  2.712  40
2 1 1  34.78  2.580  68
2 2 0  38.85  2.318  21
3 1 0  43.65  2.074  33
2 1 2  45.56  1.991  39
3 1 2  55.81  1.647  26
3 3 1  62.48  1.486  24